(1)
Diffraction record for Al12Re. The powder XRD pattern is theoretical, not measured: it uses a structure optimized by DFT (GGA-PBE) and λ = 1.5418 Å (Cu Kα).
No peak broadening, texture or thermal motion is included.

Structure:
```
Al12Re
1.0
-3.768 3.768 3.768
3.768 -3.768 3.768
3.768 3.768 -3.768
Al Re
12 1
Direct
0.120 0.812 0.308
0.188 0.308 0.496
0.188 0.692 0.880
0.308 0.120 0.812
0.308 0.496 0.188
0.496 0.188 0.308
0.504 0.812 0.692
0.692 0.504 0.812
0.692 0.880 0.188
0.812 0.308 0.120
0.812 0.692 0.504
0.880 0.188 0.692
0.000 0.000 0.000
```

Main lines, by angle (2θ from 10° to 80°):
d [Å]  I (rel.)
5.329  100
3.077  50
2.383  61
2.176  29
2.014  66
1.478  25



(2)
Diffraction record for CeMg6Ga. The powder XRD pattern is theoretical, not measured: it uses a structure optimized by DFT (GGA-PBE) and λ = 1.5418 Å (Cu Kα).
No peak broadening, texture or thermal motion is included.

Structure:
```
CeMg6Ga
1.0
4.967 0.000 0.000
0.000 3.281 5.788
0.000 -3.281 5.788
Ce Mg Ga
1 6 1
Direct
0.000 0.000 0.000
0.000 0.513 0.997
0.000 0.516 0.516
0.000 0.997 0.513
0.500 0.349 0.349
0.500 0.364 0.841
0.500 0.841 0.364
0.500 0.851 0.851
```

Main lines, by angle (2θ from 10° to 80°):
d [Å]  I (rel.)
5.709  94
2.854  39
2.764  38
2.500  68
2.484  38
2.475  100



(3)
Diffraction record for Ba2GdGaTe5. The powder XRD pattern is theoretical, not measured: it uses a structure optimized by DFT (GGA-PBE) and λ = 1.5418 Å (Cu Kα).
No peak broadening, texture or thermal motion is included.

Structure:
```
Ba2GdGaTe5
1.0
7.887 0.000 0.000
-2.803 8.957 0.000
-2.326 -3.220 9.410
Ba Gd Ga Te
4 2 2 10
Direct
0.139 0.481 0.292
0.145 0.986 0.288
0.855 0.014 0.712
0.861 0.519 0.708
0.499 0.233 0.999
0.501 0.767 0.001
0.308 0.373 0.688
0.692 0.627 0.312
0.016 0.759 0.509
0.198 0.908 0.943
0.208 0.409 0.930
0.487 0.174 0.680
0.487 0.660 0.683
0.513 0.340 0.317
0.513 0.826 0.320
0.792 0.591 0.070
0.802 0.092 0.057
0.984 0.241 0.491
```

Main lines, by angle (2θ from 10° to 80°):
d [Å]  I (rel.)
3.423  100
3.285  47
3.168  68
3.137  28
3.027  26
2.346  41



(4)
Diffraction record for TbCo2Si2. The powder XRD pattern is theoretical, not measured: it uses a structure optimized by DFT (GGA-PBE) and λ = 1.5418 Å (Cu Kα).
No peak broadening, texture or thermal motion is included.

Structure:
```
TbCo2Si2
1.0
-1.944 1.944 4.892
1.944 -1.944 4.892
1.944 1.944 -4.892
Tb Co Si
1 2 2
Direct
0.000 0.000 0.000
0.250 0.750 0.500
0.750 0.250 0.500
0.371 0.371 0.000
0.629 0.629 0.000
```

Main lines, by angle (2θ from 10° to 80°):
d [Å]  I (rel.)
3.613  52
2.499  58
2.396  100
1.944  39
1.534  26
1.402  19



(5)
Diffraction record for HfSb. The powder XRD pattern is theoretical, not measured: it uses a structure optimized by DFT (GGA-PBE) and λ = 1.5418 Å (Cu Kα).
No peak broadening, texture or thermal motion is included.

Structure:
```
HfSb
1.0
5.632 0.000 0.000
0.000 5.632 0.000
0.000 0.000 5.632
Hf Sb
4 4
Direct
0.144 0.144 0.144
0.356 0.856 0.644
0.644 0.356 0.856
0.856 0.644 0.356
0.156 0.344 0.656
0.344 0.656 0.156
0.656 0.156 0.344
0.844 0.844 0.844
```

Main lines, by angle (2θ from 10° to 80°):
d [Å]  I (rel.)
2.519  100
2.299  52
1.698  12
1.505  37
1.292  11
1.229  15



(6)
Diffraction record for Tm4B6O15. The powder XRD pattern is theoretical, not measured: it uses a structure optimized by DFT (GGA-PBE) and λ = 1.5418 Å (Cu Kα).
No peak broadening, texture or thermal motion is included.

Structure:
```
Tm4B6O15
1.0
5.813 -2.191 0.000
5.813 2.191 0.000
-2.070 0.000 18.663
Tm B O
8 12 30
Direct
0.065 0.668 0.901
0.070 0.655 0.698
0.332 0.935 0.599
0.345 0.930 0.802
0.655 0.070 0.198
0.668 0.065 0.401
0.930 0.345 0.302
0.935 0.332 0.099
0.021 0.641 0.526
0.197 0.609 0.087
0.204 0.659 0.306
0.341 0.796 0.194
0.359 0.979 0.974
0.391 0.803 0.413
0.609 0.197 0.587
0.641 0.021 0.026
0.659 0.204 0.806
0.796 0.341 0.694
0.803 0.391 0.913
0.979 0.359 0.474
0.005 0.249 0.980
0.050 0.315 0.704
0.074 0.562 0.139
0.090 0.494 0.450
0.131 0.869 0.250
0.159 0.812 0.379
0.188 0.841 0.121
0.249 0.005 0.480
0.288 0.544 0.571
0.315 0.050 0.204
0.335 0.535 0.803
0.438 0.926 0.361
0.456 0.712 0.929
0.465 0.665 0.697
0.494 0.090 0.950
0.506 0.910 0.050
0.535 0.335 0.303
0.544 0.288 0.071
0.562 0.074 0.639
0.665 0.465 0.197
0.685 0.950 0.796
0.712 0.456 0.429
0.751 0.995 0.520
0.812 0.159 0.879
0.841 0.188 0.621
0.869 0.131 0.750
0.910 0.506 0.550
0.926 0.438 0.861
0.950 0.685 0.296
0.995 0.751 0.020
```

Main lines, by angle (2θ from 10° to 80°):
d [Å]  I (rel.)
3.970  57
3.843  33
3.449  27
2.892  100
2.815  49
2.708  48



(7)
Diffraction record for SrAl2SiN2O3. The powder XRD pattern is theoretical, not measured: it uses a structure optimized by DFT (GGA-PBE) and λ = 1.5418 Å (Cu Kα).
No peak broadening, texture or thermal motion is included.

Structure:
```
SrAl2SiN2O3
1.0
4.980 0.000 0.000
0.000 8.129 0.000
0.000 0.000 11.433
Sr Al Si N O
4 8 4 8 12
Direct
0.011 0.041 0.162
0.489 0.959 0.662
0.511 0.459 0.838
0.989 0.541 0.338
0.000 0.164 0.839
0.000 0.664 0.661
0.011 0.472 0.043
0.489 0.528 0.543
0.500 0.336 0.161
0.500 0.836 0.339
0.511 0.028 0.957
0.989 0.972 0.457
0.006 0.298 0.575
0.494 0.702 0.075
0.506 0.202 0.425
0.994 0.798 0.925
0.165 0.982 0.906
0.206 0.657 0.993
0.294 0.343 0.493
0.335 0.018 0.406
0.665 0.518 0.094
0.706 0.843 0.007
0.794 0.157 0.507
0.835 0.482 0.594
0.044 0.348 0.917
0.125 0.209 0.696
0.149 0.369 0.168
0.351 0.631 0.668
0.375 0.791 0.196
0.456 0.652 0.417
0.544 0.152 0.083
0.625 0.291 0.304
0.649 0.131 0.832
0.851 0.869 0.332
0.875 0.709 0.804
0.956 0.848 0.583
```

Main lines, by angle (2θ from 10° to 80°):
d [Å]  I (rel.)
3.451  22
3.035  100
2.836  94
2.696  24
2.490  35
2.198  22



(8)
Diffraction record for SmGePt. The powder XRD pattern is theoretical, not measured: it uses a structure optimized by DFT (GGA-PBE) and λ = 1.5418 Å (Cu Kα).
No peak broadening, texture or thermal motion is included.

Structure:
```
SmGePt
1.0
4.456 0.000 0.000
0.000 14.444 0.000
0.000 0.000 7.661
Sm Ge Pt
8 8 8
Direct
0.250 0.002 0.209
0.250 0.250 0.295
0.250 0.498 0.209
0.250 0.750 0.292
0.750 0.250 0.708
0.750 0.502 0.791
0.750 0.750 0.705
0.750 0.998 0.791
0.250 0.101 0.589
0.250 0.399 0.589
0.250 0.655 0.911
0.250 0.845 0.911
0.750 0.155 0.089
0.750 0.345 0.089
0.750 0.601 0.411
0.750 0.899 0.411
0.250 0.141 0.920
0.250 0.359 0.920
0.250 0.598 0.583
0.250 0.902 0.583
0.750 0.098 0.417
0.750 0.402 0.417
0.750 0.641 0.080
0.750 0.859 0.080
```

Main lines, by angle (2θ from 10° to 80°):
d [Å]  I (rel.)
2.695  23
2.632  100
2.228  29
2.216  45
1.699  17
1.420  17



(9)
Diffraction record for ZnNi3N. The powder XRD pattern is theoretical, not measured: it uses a structure optimized by DFT (GGA-PBE) and λ = 1.5418 Å (Cu Kα).
No peak broadening, texture or thermal motion is included.

Structure:
```
ZnNi3N
1.0
3.761 0.000 0.000
0.000 3.761 0.000
0.000 0.000 3.761
Zn Ni N
1 3 1
Direct
0.000 0.000 0.000
0.000 0.500 0.500
0.500 0.000 0.500
0.500 0.500 0.000
0.500 0.500 0.500
```

Main lines, by angle (2θ from 10° to 80°):
d [Å]  I (rel.)
2.659  2
2.171  100
1.880  57
1.330  33



(10)
Diffraction record for PrNb3O9. The powder XRD pattern is theoretical, not measured: it uses a structure optimized by DFT (GGA-PBE) and λ = 1.5418 Å (Cu Kα).
No peak broadening, texture or thermal motion is included.

Structure:
```
PrNb3O9
1.0
5.611 0.000 0.000
-0.045 9.761 0.000
-0.092 -0.073 13.782
Pr Nb O
4 12 36
Direct
0.236 0.422 0.422
0.241 0.084 0.083
0.759 0.916 0.917
0.764 0.578 0.578
0.249 0.081 0.826
0.249 0.411 0.675
0.249 0.737 0.001
0.251 0.765 0.497
0.252 0.087 0.334
0.255 0.422 0.166
0.745 0.578 0.834
0.748 0.913 0.666
0.749 0.235 0.503
0.751 0.263 0.999
0.751 0.589 0.325
0.751 0.919 0.174
0.000 0.324 0.588
0.000 0.676 0.412
0.002 0.850 0.074
0.007 0.344 0.074
0.008 0.982 0.255
0.009 0.182 0.414
0.010 0.490 0.260
0.197 0.566 0.566
0.205 0.911 0.910
0.220 0.233 0.235
0.283 0.262 0.762
0.284 0.593 0.096
0.285 0.928 0.426
0.486 0.317 0.084
0.487 0.005 0.240
0.488 0.472 0.271
0.489 0.203 0.406
0.499 0.873 0.063
0.500 0.357 0.572
0.500 0.643 0.428
0.501 0.127 0.937
0.511 0.797 0.594
0.512 0.528 0.729
0.513 0.995 0.760
0.514 0.683 0.916
0.715 0.072 0.574
0.716 0.407 0.904
0.717 0.738 0.238
0.780 0.767 0.765
0.795 0.089 0.090
0.803 0.434 0.434
0.990 0.510 0.740
0.991 0.818 0.586
0.992 0.018 0.745
0.993 0.656 0.926
0.998 0.150 0.926
```

Main lines, by angle (2θ from 10° to 80°):
d [Å]  I (rel.)
7.977  51
3.989  37
2.821  51
2.808  100
1.994  39
1.626  31